Entry 1:
Structure and computed powder XRD pattern of Pm2SmSb2 (a crystal structure in Alexandria, relaxed with GGA-PBE; a wavelength of 1.5418 Å).
Lines closer than 0.1° are merged.

Cell: 9.9263 9.9263 6.4977 Å, 90.00 90.00 151.49°
Fractional positions:
Pm 0.0004 0.9996 0.0000
Pm 0.9996 0.0004 0.5000
Pm 0.1913 0.8087 0.7479
Pm 0.8087 0.1913 0.2479
Sm 0.3958 0.6042 0.7501
Sm 0.6042 0.3958 0.2501
Sb 0.1993 0.8007 0.2477
Sb 0.4234 0.5766 0.2494
Sb 0.5766 0.4234 0.7494
Sb 0.8007 0.1993 0.7477

Main lines, most intense first (2θ = 15–90°):
d_spacing, 2θ (°), I (rel.)
3.024, 29.5, 100
2.493, 36.0, 32
2.444, 36.8, 31
2.679, 33.4, 27
2.213, 40.8, 25
3.249, 27.5, 22
1.431, 65.2, 21
3.078, 29.0, 15
2.692, 33.3, 13
1.501, 61.8, 12

***

Entry 2:
Structure and computed powder XRD pattern of Pm5SmSb3 (a crystal structure in Alexandria, relaxed with GGA-PBE; a wavelength of 1.5418 Å).
Lines closer than 0.1° are merged.

Cell: 10.6401 10.6401 10.6401 Å, 136.85 136.85 62.66°
Fractional positions:
Pm 0.0000 0.0000 0.0000
Pm 0.0620 0.5620 0.8777
Pm 0.1843 0.0620 0.5000
Pm 0.3157 0.8157 0.8777
Pm 0.4380 0.3157 0.5000
Pm 0.5000 0.5000 0.0000
Pm 0.5620 0.6843 0.5000
Pm 0.6843 0.1843 0.1223
Pm 0.8157 0.9380 0.5000
Pm 0.9380 0.4380 0.1223
Sm 0.2500 0.7500 0.5000
Sm 0.7500 0.2500 0.5000
Sb 0.1308 0.3692 0.5000
Sb 0.2500 0.2500 0.0000
Sb 0.3692 0.8692 0.2384
Sb 0.6308 0.1308 0.7616
Sb 0.7500 0.7500 0.0000
Sb 0.8692 0.6308 0.5000

Main lines, most intense first (2θ = 15–90°):
d_spacing, 2θ (°), I (rel.)
2.965, 30.1, 100
3.030, 29.5, 66
2.521, 35.6, 35
2.766, 32.4, 32
2.272, 39.7, 27
2.474, 36.3, 18
1.756, 52.1, 17
2.387, 37.7, 15
1.413, 66.1, 13
1.811, 50.4, 13

***

Entry 3:
Structure and computed powder XRD pattern of Pm3Sm4Sb4 (a crystal structure in Alexandria, relaxed with GGA-PBE; a wavelength of 1.5418 Å).
Lines closer than 0.1° are merged.

Cell: 11.5538 7.2063 7.2063 Å, 35.55 90.00 90.00°
Fractional positions:
Pm 0.0000 0.0000 0.0000
Pm 0.3515 0.0671 0.0671
Pm 0.6485 0.0671 0.0671
Sm 0.0000 0.2997 0.2997
Sm 0.2442 0.7667 0.7667
Sm 0.5000 0.3607 0.3607
Sm 0.7558 0.7667 0.7667
Sb 0.0000 0.6535 0.6535
Sb 0.2200 0.4363 0.4363
Sb 0.5000 0.6870 0.6870
Sb 0.7800 0.4363 0.4363

Main lines, most intense first (2θ = 15–90°):
d_spacing, 2θ (°), I (rel.)
2.780, 32.2, 100
3.171, 28.1, 70
2.836, 31.6, 35
2.200, 41.0, 32
2.888, 31.0, 25
2.127, 42.5, 24
2.378, 37.8, 20
3.358, 26.5, 18
2.662, 33.7, 18
3.058, 29.2, 18

***

Entry 4:
Structure and computed powder XRD pattern of Pm3Sm5Sb8 (a crystal structure in Alexandria, relaxed with GGA-PBE; a wavelength of 1.5418 Å).
Lines closer than 0.1° are merged.

Cell: 8.9601 8.9601 8.9601 Å, 60.00 60.00 60.00°
Fractional positions:
Pm 0.0000 0.5000 0.5000
Pm 0.5000 0.0000 0.5000
Pm 0.5000 0.5000 0.0000
Sm 0.0000 0.0000 0.0000
Sm 0.0000 0.0000 0.5000
Sm 0.0000 0.5000 0.0000
Sm 0.5000 0.0000 0.0000
Sm 0.5000 0.5000 0.5000
Sb 0.2491 0.7500 0.7500
Sb 0.2495 0.2495 0.2495
Sb 0.2500 0.2500 0.7509
Sb 0.2500 0.7509 0.2500
Sb 0.7500 0.2491 0.7500
Sb 0.7500 0.7500 0.2491
Sb 0.7505 0.7505 0.7505
Sb 0.7509 0.2500 0.2500

Main lines, most intense first (2θ = 15–90°):
d_spacing, 2θ (°), I (rel.)
3.168, 28.2, 100
2.240, 40.3, 76
1.417, 65.9, 35
1.829, 49.9, 27
1.293, 73.2, 26
1.584, 58.3, 13
1.120, 87.0, 8
3.658, 24.3, 2
1.910, 47.6, 1

***

Entry 5:
Structure and computed powder XRD pattern of PmSm2TmSb4 (a crystal structure in Alexandria, relaxed with GGA-PBE; a wavelength of 1.5418 Å).
Lines closer than 0.1° are merged.

Cell: 7.6959 4.4474 7.6971 Å, 90.00 109.50 90.00°
Fractional positions:
Pm 0.0000 0.0000 0.0000
Sm 0.0000 0.5000 0.5000
Sm 0.5000 0.0000 0.5000
Tm 0.5000 0.5000 0.0000
Sb 0.2539 0.5000 0.2480
Sb 0.2566 0.0000 0.7556
Sb 0.7434 0.0000 0.2444
Sb 0.7461 0.5000 0.7520

Main lines, most intense first (2θ = 15–90°):
d_spacing, 2θ (°), I (rel.)
3.143, 28.4, 100
2.222, 40.6, 76
1.406, 66.5, 35
1.815, 50.3, 27
1.283, 73.9, 26
1.571, 58.8, 13
1.111, 87.9, 7
3.629, 24.5, 3
1.895, 48.0, 1
1.111, 87.9, 1

***

Entry 6:
Structure and computed powder XRD pattern of PmSm2USb4 (a crystal structure in Alexandria, relaxed with GGA-PBE; a wavelength of 1.5418 Å).
Lines closer than 0.1° are merged.

Cell: 6.2958 6.2958 12.5908 Å, 90.00 90.00 90.00°
Fractional positions:
Pm 0.0000 0.0000 0.0000
Pm 0.5000 0.5000 0.5000
Sm 0.0000 0.0000 0.5000
Sm 0.0000 0.5000 0.2500
Sm 0.5000 0.0000 0.7500
Sm 0.5000 0.5000 0.0000
U 0.0000 0.5000 0.7500
U 0.5000 0.0000 0.2500
Sb 0.0000 0.0000 0.2505
Sb 0.0000 0.0000 0.7495
Sb 0.0000 0.5000 0.5041
Sb 0.0000 0.5000 0.9959
Sb 0.5000 0.0000 0.0041
Sb 0.5000 0.0000 0.4959
Sb 0.5000 0.5000 0.2495
Sb 0.5000 0.5000 0.7505

Main lines, most intense first (2θ = 15–90°):
d_spacing, 2θ (°), I (rel.)
3.148, 28.4, 100
2.226, 40.5, 77
1.408, 66.4, 36
1.817, 50.2, 27
1.285, 73.7, 26
1.574, 58.7, 13
1.113, 87.7, 9
3.635, 24.5, 5
1.898, 47.9, 3
5.631, 15.7, 3